Simulated XRD peak list
Compound: LiReHg
Radiation: copper Kα
Structure: a crystal structure in Alexandria, relaxed with PBE

Structure:
```
data_LiReHg
_chemical_formula_sum 'Li1 Re1 Hg1'
_cell_length_a 7.608
_cell_length_b 7.422
_cell_length_c 2.730
_cell_angle_alpha 83.40
_cell_angle_beta 75.72
_cell_angle_gamma 20.88
_symmetry_space_group_name_H-M 'P 1'
_symmetry_Int_Tables_number 1
_symmetry_space_group_name_Hall 'P 1'
loop_
_atom_site_label
_atom_site_type_symbol
_atom_site_fract_x
_atom_site_fract_y
_atom_site_fract_z
Li1 Li 0.000 0.000 0.000
Re1 Re 0.652 0.652 0.348
Hg1 Hg 0.334 0.334 0.666
```

Largest 10 diffraction maxima, sorted by position, 10 to 90 degrees two-theta:
2θ/deg	intensity
12.2	70
24.5	36
36.0	37
37.1	29
39.8	26
40.2	100
55.6	19
57.4	19
69.0	18
72.6	18